Record 1
# Ca2GaBi2
Theoretical powder XRD pattern, Cu Ka. Input: a structure optimized by DFT (PBE).

Cell and atoms:
```
data_Ca2GaBi2
_cell_length_a 5.2479
_cell_length_b 16.6528
_cell_length_c 7.0589
_cell_angle_alpha 90.00
_cell_angle_beta 90.00
_cell_angle_gamma 90.00
_space_group_name_H-M_alt 'C m c 21'
_space_group_IT_number 36
loop_
_space_group_symop_operation_xyz
'x,y,z'
'-x,-y,z+1/2'
'-x,y,z'
'x,-y,z+1/2'
'x+1/2,y+1/2,z'
'-x+1/2,-y+1/2,z+1/2'
'-x+1/2,y+1/2,z'
'x+1/2,-y+1/2,z+1/2'
loop_
_atom_site_label
_atom_site_type_symbol
_atom_site_fract_x
_atom_site_fract_y
_atom_site_fract_z
Ca1 Ca 0.0000 0.0054 0.0000
Ca2 Ca 0.0000 0.2072 0.2649
Ga1 Ga 0.0000 0.3995 0.1772
Bi1 Bi 0.0000 0.1684 0.7511
Bi2 Bi 0.0000 0.4255 0.7590
```

The 10 most intense peaks (10 to 90 degrees two-theta), low angle first:
h k l	2θ (°)	I (rel.)
1 1 1	21.77	100
1 3 0	23.33	48
0 4 1	24.83	92
0 0 2	25.23	100
1 3 1	26.57	49
1 5 0	31.82	92
2 0 0	34.17	73
1 3 2	34.63	78
1 5 2	41.04	50
2 0 2	42.95	50

Record 2
# SrZrNbCd2
Theoretical powder XRD pattern, Cu Ka. Input: a structure optimized by DFT (PBE).

Cell and atoms:
```
data_SrZrNbCd2
_cell_length_a 5.3240
_cell_length_b 5.3240
_cell_length_c 5.2993
_cell_angle_alpha 90.00
_cell_angle_beta 90.00
_cell_angle_gamma 90.00
_space_group_name_H-M_alt 'P 4/m m m'
_space_group_IT_number 123
_space_group_name_Hall '-P 4 2'
loop_
_atom_site_label
_atom_site_type_symbol
_atom_site_fract_x
_atom_site_fract_y
_atom_site_fract_z
Sr1 Sr 0.0000 0.0000 0.0000
Zr1 Zr 0.0000 0.0000 0.5000
Nb1 Nb 0.5000 0.5000 0.5000
Cd1 Cd 0.0000 0.5000 0.0000
```

The 10 most intense peaks (10 to 90 degrees two-theta), low angle first:
h k l	2θ (°)	I (rel.)
0 0 1	16.69	27
1 0 1	23.68	14
1 1 1	29.10	100
2 0 0	33.67	80
0 0 2	33.83	39
2 2 0	48.35	28
2 0 2	48.47	55
3 1 1	57.43	28
2 2 2	60.32	28
4 2 0	80.76	24